Entry 1:
Simulated X-ray diffraction stick pattern
Compound: Pu2MnGa3
Radiation: λ = 1.5418 Å (Cu Kα)
Structure: a PBE-relaxed structure

Crystal structure
abc: 5.2895 5.2895 5.2895
angles: 64.35 64.35 64.35
Element x y z (fractional)
Pu1 0.1198 0.1198 0.1198
Pu2 0.8802 0.8802 0.8802
Mn1 0.5000 0.5000 0.5000
Ga1 0.0000 0.5000 0.5000
Ga2 0.5000 0.0000 0.5000
Ga3 0.5000 0.5000 0.0000

Peak list (8 most intense, 10° ≤ 2θ ≤ 90°, in order of falling intensity)
2theta	d [Å]	I (rel.)
38.6	2.334	100.0
31.8	2.817	93.2
34.0	2.634	88.8
37.6	2.394	75.7
19.5	4.545	63.9
40.5	2.227	62.3
58.1	1.589	40.3
62.6	1.485	34.9

Entry 2:
Simulated X-ray diffraction stick pattern
Compound: Tl3BiPb6
Radiation: λ = 1.5418 Å (Cu Kα)
Structure: a PBE-relaxed structure

Crystal structure
abc: 8.1630 8.1630 8.1630
angles: 113.00 113.00 113.00
Element x y z (fractional)
Tl1 0.0232 0.4884 0.4884
Tl2 0.4884 0.0232 0.4884
Tl3 0.4884 0.4884 0.0232
Bi1 0.4426 0.4426 0.4426
Pb1 0.0512 0.0512 0.3905
Pb2 0.0512 0.3905 0.0512
Pb3 0.3905 0.0512 0.0512
Pb4 0.6619 0.9193 0.9193
Pb5 0.9193 0.6619 0.9193
Pb6 0.9193 0.9193 0.6619

Peak list (8 most intense, 10° ≤ 2θ ≤ 90°, in order of falling intensity)
2theta	d [Å]	I (rel.)
30.5	2.931	100.0
31.0	2.882	55.5
35.9	2.503	26.3
38.7	2.324	24.7
22.6	3.930	21.8
33.3	2.692	18.8
26.2	3.404	18.8
58.4	1.580	17.7

Entry 3:
Simulated X-ray diffraction stick pattern
Compound: RbDy4ErS8
Radiation: λ = 1.5418 Å (Cu Kα)
Structure: a PBE-relaxed structure

Crystal structure
abc: 8.2430 8.2430 8.2430
angles: 60.25 60.25 60.25
Element x y z (fractional)
Rb1 0.0000 0.0000 0.0000
Dy1 0.1097 0.6285 0.6285
Dy2 0.2487 0.2487 0.2487
Dy3 0.6285 0.1097 0.6285
Dy4 0.6285 0.6285 0.1097
Er1 0.6283 0.6283 0.6283
S1 0.3810 0.3810 0.3810
S2 0.3818 0.3818 0.8517
S3 0.3818 0.8517 0.3818
S4 0.4314 0.8532 0.8532
S5 0.8517 0.3818 0.3818
S6 0.8532 0.4314 0.8532
S7 0.8532 0.8532 0.4314
S8 0.8552 0.8552 0.8552

Peak list (8 most intense, 10° ≤ 2θ ≤ 90°, in order of falling intensity)
2theta	d [Å]	I (rel.)
25.3	3.524	100.0
40.1	2.249	50.7
43.8	2.068	40.5
43.9	2.061	40.3
30.6	2.920	37.0
25.4	3.513	34.1
13.1	6.744	29.9
21.5	4.130	28.5

Entry 4:
Simulated X-ray diffraction stick pattern
Compound: InCo2Cu
Radiation: λ = 1.5418 Å (Cu Kα)
Structure: a PBE-relaxed structure

Crystal structure
abc: 5.4298 3.9389 5.8641
angles: 90.00 117.67 90.00
Element x y z (fractional)
In1 0.0000 0.0000 0.0000
In2 0.1507 0.5000 0.6860
Co1 0.3964 0.5000 0.2425
Co2 0.5063 0.0000 0.9863
Co3 0.6495 0.5000 0.7079
Co4 0.7827 0.5000 0.1737
Cu1 0.3244 0.0000 0.4947
Cu2 0.7568 0.0000 0.4564

Peak list (8 most intense, 10° ≤ 2θ ≤ 90°, in order of falling intensity)
2theta	d [Å]	I (rel.)
40.3	2.235	100.0
41.7	2.168	98.6
48.5	1.877	51.1
46.1	1.969	41.2
69.2	1.358	37.9
29.3	3.049	15.7
44.1	2.053	15.4
30.6	2.918	14.9